1.
Computed powder diffraction line list of Ho8ErSc3 for CuKα, from a DFT-relaxed cell (GGA-PBE, Alexandria).
Peak positions follow from Bragg's law for the DFT cell and can differ from measured ones.

The 8 most intense peaks (2θ from 10° to 90°), by angle:
Position (°2θ), I (rel.)
25.9, 28
31.0, 65
32.3, 99
32.4, 100
32.8, 87
33.3, 76
33.5, 88
33.7, 30

Structural model:
```
Ho8ErSc3
1.0
5.775 0.000 0.000
2.647 7.928 0.000
2.446 2.920 7.749
Ho Er Sc
8 1 3
direct
0.000 0.000 0.000
0.026 0.713 0.421
0.152 0.484 0.146
0.217 0.244 0.571
0.330 0.025 0.292
0.359 0.734 0.714
0.562 0.735 0.084
0.794 0.992 0.654
0.886 0.469 0.846
0.460 0.254 0.878
0.650 0.468 0.485
0.715 0.251 0.253
```

=====

2.
Computed powder diffraction line list of HoEr2Sc9 for CuKα, from a DFT-relaxed cell (GGA-PBE, Alexandria).
Peak positions follow from Bragg's law for the DFT cell and can differ from measured ones.

The 8 most intense peaks (2θ from 10° to 90°), by angle:
Position (°2θ), I (rel.)
16.4, 46
27.3, 63
28.2, 86
30.0, 59
32.8, 53
34.0, 100
53.7, 31
58.2, 33

Structural model:
```
HoEr2Sc9
1.0
3.169 1.830 9.465
-3.169 1.830 9.465
0.000 -3.659 9.465
Ho Er Sc
1 2 9
direct
0.000 0.000 0.000
0.137 0.137 0.137
0.863 0.863 0.863
0.075 0.593 0.593
0.335 0.335 0.335
0.407 0.407 0.925
0.407 0.925 0.407
0.500 0.500 0.500
0.593 0.075 0.593
0.593 0.593 0.075
0.665 0.665 0.665
0.925 0.407 0.407
```

=====

3.
Computed powder diffraction line list of SmHoEr2Sc2 for CuKα, from a DFT-relaxed cell (GGA-PBE, Alexandria).
Peak positions follow from Bragg's law for the DFT cell and can differ from measured ones.

The 8 most intense peaks (2θ from 10° to 90°), by angle:
Position (°2θ), I (rel.)
25.0, 28
30.3, 100
30.8, 23
31.1, 66
32.2, 31
34.3, 26
37.0, 29
42.6, 26

Structural model:
```
SmHoEr2Sc2
1.0
6.277 0.000 0.000
0.000 17.254 0.000
0.000 0.000 3.328
Sm Ho Er Sc
2 2 4 4
direct
0.000 0.000 0.000
0.500 0.500 0.500
0.000 0.500 0.000
0.500 0.000 0.500
0.226 0.310 0.000
0.274 0.810 0.500
0.726 0.190 0.500
0.774 0.690 0.000
0.226 0.147 0.500
0.274 0.647 0.000
0.726 0.353 0.000
0.774 0.853 0.500
```

=====

4.
Computed powder diffraction line list of Tb2HoEr2Sc2 for CuKα, from a DFT-relaxed cell (GGA-PBE, Alexandria).
Peak positions follow from Bragg's law for the DFT cell and can differ from measured ones.

The 8 most intense peaks (2θ from 10° to 90°), by angle:
Position (°2θ), I (rel.)
16.0, 35
31.8, 90
31.9, 72
33.6, 100
34.2, 54
36.6, 78
53.7, 39
63.9, 45

Structural model:
```
Tb2HoEr2Sc2
1.0
5.623 -1.702 0.000
5.623 1.702 0.000
-3.704 0.000 10.855
Tb Ho Er Sc
2 1 2 2
direct
0.171 0.171 0.088
0.829 0.829 0.912
0.500 0.500 0.500
0.048 0.048 0.768
0.952 0.952 0.232
0.273 0.273 0.634
0.727 0.727 0.366
```

=====

5.
Computed powder diffraction line list of TbHoErSc2 for CuKα, from a DFT-relaxed cell (GGA-PBE, Alexandria).
Peak positions follow from Bragg's law for the DFT cell and can differ from measured ones.

The 8 most intense peaks (2θ from 10° to 90°), by angle:
Position (°2θ), I (rel.)
22.7, 87
25.7, 56
26.5, 61
32.0, 48
34.6, 100
37.2, 77
42.2, 34
47.8, 55

Structural model:
```
TbHoErSc2
1.0
3.916 -5.599 0.000
3.916 5.599 0.000
0.000 0.000 6.929
Tb Ho Er Sc
2 2 2 4
direct
0.221 0.779 0.750
0.779 0.221 0.250
0.500 0.500 0.250
0.500 0.500 0.750
0.218 0.782 0.250
0.782 0.218 0.750
0.184 0.184 0.000
0.184 0.184 0.500
0.816 0.816 0.000
0.816 0.816 0.500
```

=====

6.
Computed powder diffraction line list of TbHo4ErSc2 for CuKα, from a DFT-relaxed cell (GGA-PBE, Alexandria).
Peak positions follow from Bragg's law for the DFT cell and can differ from measured ones.

The 8 most intense peaks (2θ from 10° to 90°), by angle:
Position (°2θ), I (rel.)
30.7, 78
32.0, 39
33.7, 100
38.4, 42
50.8, 20
52.5, 30
58.2, 21
62.8, 34

Structural model:
```
TbHo4ErSc2
1.0
6.970 0.000 0.000
-3.484 6.039 0.000
-0.001 -0.003 11.174
Tb Ho Er Sc
2 8 2 4
direct
0.000 0.000 0.000
0.500 0.500 0.000
0.164 0.332 0.745
0.167 0.834 0.744
0.334 0.165 0.253
0.334 0.669 0.253
0.666 0.331 0.747
0.666 0.835 0.747
0.833 0.166 0.256
0.836 0.668 0.255
0.000 0.500 0.000
0.500 0.500 0.500
0.000 0.000 0.500
0.000 0.500 0.500
0.500 0.000 0.000
0.500 0.000 0.500
```

=====

> Number 3 is which compound?

SmHoEr2Sc2